Diffraction record for ZnH6Pt. The XRD peak list is simulated, not measured: it uses DFT lattice parameters and positions (PBE) and λ = 1.5418 Å (Cu Kα).
Lines closer than 0.1° are merged.

Top 6 peaks for 10° ≤ 2θ ≤ 90°, by angle:
two_theta  Rel. int.
24.3  29
27.7  100
38.9  41
40.4  36
49.7  20
63.7  19

Atomic structure:
```
ZnH6Pt
1.0
2.2341 1.2898 3.8591
-2.2341 1.2898 3.8591
0.0000 -2.5797 3.8591
Zn H Pt
1 6 1
direct
0.0000 0.0000 0.0000
0.1192 0.4087 0.7295
0.2705 0.8808 0.5913
0.4087 0.7295 0.1192
0.5913 0.2705 0.8808
0.7295 0.1192 0.4087
0.8808 0.5913 0.2705
0.5000 0.5000 0.5000
```

=====

Diffraction record for ZrHSe. The XRD peak list is simulated, not measured: it uses DFT lattice parameters and positions (PBE) and λ = 1.5418 Å (Cu Kα).
Lines closer than 0.1° are merged.

Top 6 peaks for 10° ≤ 2θ ≤ 90°, by angle:
two_theta  Rel. int.
30.5  50
33.1  100
33.9  70
38.4  54
38.6  95
46.9  59

Atomic structure:
```
ZrHSe
1.0
4.7831 -1.7795 0.0000
4.7831 1.7795 0.0000
-1.3396 0.0000 5.2839
Zr H Se
2 2 2
direct
0.0000 0.0000 0.0000
0.6393 0.6393 0.5474
0.1657 0.1657 0.3554
0.5801 0.5801 0.1623
0.2669 0.2669 0.9140
0.9156 0.9156 0.4684
```

=====

Diffraction record for SmTaH4. The XRD peak list is simulated, not measured: it uses DFT lattice parameters and positions (PBE) and λ = 1.5418 Å (Cu Kα).
Lines closer than 0.1° are merged.

Top 6 peaks for 10° ≤ 2θ ≤ 90°, by angle:
two_theta  Rel. int.
32.0  100
33.7  21
38.6  29
52.2  26
59.2  17
65.8  25

Atomic structure:
```
SmTaH4
1.0
3.2952 0.0000 0.0000
0.0000 3.2952 0.0000
0.0000 0.0000 5.3176
Sm Ta H
1 1 4
direct
0.0000 0.0000 0.0000
0.5000 0.5000 0.5000
0.0000 0.5000 0.2993
0.0000 0.5000 0.7007
0.5000 0.0000 0.2993
0.5000 0.0000 0.7007
```

=====

Diffraction record for SrZnH3. The XRD peak list is simulated, not measured: it uses DFT lattice parameters and positions (PBE) and λ = 1.5418 Å (Cu Kα).
Lines closer than 0.1° are merged.

Top 6 peaks for 10° ≤ 2θ ≤ 90°, by angle:
two_theta  Rel. int.
32.6  100
46.8  19
58.2  37
68.4  12
77.8  15
87.0  4

Atomic structure:
```
SrZnH3
1.0
0.0000 3.8802 3.8802
3.8802 0.0000 3.8802
3.8802 3.8802 0.0000
Sr Zn H
2 2 6
direct
0.2500 0.2500 0.2500
0.7500 0.7500 0.7500
0.0000 0.0000 0.0000
0.5000 0.5000 0.5000
0.2491 0.2491 0.7509
0.2491 0.7509 0.2491
0.2491 0.7509 0.7509
0.7509 0.2491 0.2491
0.7509 0.2491 0.7509
0.7509 0.7509 0.2491
```

=====

Diffraction record for Ta2H. The XRD peak list is simulated, not measured: it uses DFT lattice parameters and positions (PBE) and λ = 1.5418 Å (Cu Kα).
Lines closer than 0.1° are merged.

Top 6 peaks for 10° ≤ 2θ ≤ 90°, by angle:
two_theta  Rel. int.
37.4  100
37.6  25
38.0  24
54.5  17
67.7  18
68.2  17

Atomic structure:
```
Ta2H
1.0
2.3684 -2.3944 0.0000
2.3684 2.3944 0.0000
0.0000 0.0000 3.4338
Ta H
2 1
direct
0.0000 0.5000 0.2398
0.5000 0.0000 0.7602
0.0000 0.0000 0.5000
```

=====

Diffraction record for Ta2H. The XRD peak list is simulated, not measured: it uses DFT lattice parameters and positions (PBE) and λ = 1.5418 Å (Cu Kα).
Lines closer than 0.1° are merged.

Top 6 peaks for 10° ≤ 2θ ≤ 90°, by angle:
two_theta  Rel. int.
37.5  100
37.6  20
54.2  14
67.6  15
67.7  14
67.9  14

Atomic structure:
```
Ta2H
1.0
1.6998 -2.3892 0.0000
1.6998 2.3892 0.0000
0.0000 0.0000 4.7942
Ta H
2 1
direct
0.0000 0.5000 0.2354
0.5000 0.0000 0.7646
0.5000 0.5000 0.5000
```

=====

Diffraction record for Ta5H4. The XRD peak list is simulated, not measured: it uses DFT lattice parameters and positions (PBE) and λ = 1.5418 Å (Cu Kα).
Lines closer than 0.1° are merged.

Top 6 peaks for 10° ≤ 2θ ≤ 90°, by angle:
two_theta  Rel. int.
37.1  100
53.3  6
53.6  12
66.8  12
66.9  24
79.0  8

Atomic structure:
```
Ta5H4
1.0
-3.8249 3.8249 1.7184
3.8249 -3.8249 1.7184
3.8249 3.8249 -1.7184
Ta H
5 4
direct
0.0000 0.0000 0.0000
0.2012 0.5996 0.8007
0.4004 0.2012 0.6016
0.5996 0.7988 0.3984
0.7988 0.4004 0.1993
0.0015 0.2515 0.2530
0.2515 0.9985 0.2501
0.7485 0.0015 0.7499
0.9985 0.7485 0.7470
```

=====

Diffraction record for TbYH4. The XRD peak list is simulated, not measured: it uses DFT lattice parameters and positions (PBE) and λ = 1.5418 Å (Cu Kα).
Lines closer than 0.1° are merged.

Top 6 peaks for 10° ≤ 2θ ≤ 90°, by angle:
two_theta  Rel. int.
29.8  100
34.6  48
49.7  37
59.1  43
80.8  17
83.4  16

Atomic structure:
```
TbYH4
1.0
3.6667 0.0000 0.0000
0.0000 3.6667 0.0000
0.0000 0.0000 5.1830
Tb Y H
1 1 4
direct
0.0000 0.0000 0.0000
0.5000 0.5000 0.5000
0.0000 0.5000 0.2504
0.0000 0.5000 0.7496
0.5000 0.0000 0.2504
0.5000 0.0000 0.7496
```

=====

Diffraction record for ZrTcH4. The XRD peak list is simulated, not measured: it uses DFT lattice parameters and positions (PBE) and λ = 1.5418 Å (Cu Kα).
Lines closer than 0.1° are merged.

Top 6 peaks for 10° ≤ 2θ ≤ 90°, by angle:
two_theta  Rel. int.
34.3  100
39.3  16
40.0  31
57.3  23
68.0  13
69.0  25

Atomic structure:
```
ZrTcH4
1.0
3.1857 0.0000 0.0000
0.0000 3.1858 0.0000
-0.0076 0.0000 4.5906
Zr Tc H
1 1 4
direct
0.0000 0.0000 0.0000
0.5000 0.5000 0.5000
0.0000 0.5000 0.2852
0.0000 0.5000 0.7148
0.4991 0.0000 0.7147
0.5009 0.0000 0.2853
```

=====

Diffraction record for TmH. The XRD peak list is simulated, not measured: it uses DFT lattice parameters and positions (PBE) and λ = 1.5418 Å (Cu Kα).
Lines closer than 0.1° are merged.

Top 6 peaks for 10° ≤ 2θ ≤ 90°, by angle:
two_theta  Rel. int.
30.6  100
35.5  50
51.0  37
60.7  43
83.2  18
85.8  17

Atomic structure:
```
TmH
1.0
0.0000 2.5314 2.5314
2.5314 0.0000 2.5314
2.5314 2.5314 0.0000
Tm H
1 1
direct
0.0000 0.0000 0.0000
0.2500 0.2500 0.2500
```

=====

Diffraction record for Zr2H3. The XRD peak list is simulated, not measured: it uses DFT lattice parameters and positions (PBE) and λ = 1.5418 Å (Cu Kα).
Lines closer than 0.1° are merged.

Top 6 peaks for 10° ≤ 2θ ≤ 90°, by angle:
two_theta  Rel. int.
32.6  52
32.8  51
33.1  100
35.8  38
36.5  36
41.9  25

Atomic structure:
```
Zr2H3
1.0
3.2465 0.0000 0.0000
-0.9676 5.5207 0.0000
-0.4275 -0.5978 5.9323
Zr H
4 6
direct
0.0000 0.0000 0.0000
0.2486 0.4953 0.7488
0.5000 0.0000 0.5000
0.7514 0.5047 0.2512
0.1889 0.3759 0.0627
0.3103 0.6312 0.4388
0.4323 0.8741 0.8101
0.5677 0.1259 0.1899
0.6897 0.3688 0.5612
0.8111 0.6241 0.9373
```

=====

Diffraction record for Zr3H5. The XRD peak list is simulated, not measured: it uses DFT lattice parameters and positions (PBE) and λ = 1.5418 Å (Cu Kα).
Lines closer than 0.1° are merged.

Top 6 peaks for 10° ≤ 2θ ≤ 90°, by angle:
two_theta  Rel. int.
32.5  100
32.6  98
37.0  33
38.1  60
54.2  46
65.2  25

Atomic structure:
```
Zr3H5
1.0
2.9465 -5.0287 0.0000
2.9465 5.0287 0.0000
-2.1231 0.0000 5.4857
Zr H
6 10
direct
0.0856 0.4096 0.7515
0.2374 0.2374 0.2384
0.4096 0.0856 0.7515
0.5904 0.9144 0.2485
0.7626 0.7626 0.7616
0.9144 0.5904 0.2485
0.0414 0.7080 0.6265
0.2070 0.5406 0.1259
0.2920 0.9586 0.3735
0.3772 0.3772 0.6237
0.4594 0.7930 0.8741
0.5406 0.2070 0.1259
0.6228 0.6228 0.3763
0.7080 0.0414 0.6265
0.7930 0.4594 0.8741
0.9586 0.2920 0.3735
```